[1]
Structure and theoretical powder X-ray diffraction pattern of Tm12Co5Bi (a GGA-PBE-relaxed structure; a wavelength of 1.5418 Å).

Structural model:
```
data_Tm12Co5Bi
_cell_length_a 8.193
_cell_length_b 8.193
_cell_length_c 8.193
_cell_angle_alpha 110.99
_cell_angle_beta 110.85
_cell_angle_gamma 106.62
_space_group_name_H-M_alt 'P 1'
_space_group_IT_number 1
loop_
_space_group_symop_operation_xyz
'x,y,z'
loop_
_atom_site_label
_atom_site_type_symbol
_atom_site_fract_x
_atom_site_fract_y
_atom_site_fract_z
Tm1 Tm 0.004 0.811 0.192
Tm2 Tm 0.211 0.515 0.304
Tm3 Tm 0.211 0.908 0.696
Tm4 Tm 0.284 0.317 0.602
Tm5 Tm 0.284 0.683 0.967
Tm6 Tm 0.381 0.189 0.192
Tm7 Tm 0.619 0.811 0.808
Tm8 Tm 0.716 0.317 0.033
Tm9 Tm 0.716 0.683 0.398
Tm10 Tm 0.789 0.092 0.304
Tm11 Tm 0.789 0.485 0.696
Tm12 Tm 0.996 0.189 0.808
Co1 Co 0.000 0.125 0.125
Co2 Co 0.000 0.500 0.500
Co3 Co 0.000 0.875 0.875
Co4 Co 0.388 0.388 0.000
Co5 Co 0.612 0.612 0.000
Bi1 Bi 0.500 0.000 0.500
```

Principal peaks in the range 15° ≤ 2θ ≤ 90°, sorted by position:
| 2θ/deg | Rel. int. |
| --- | --- |
| 29.0 | 23.4 |
| 30.3 | 27.7 |
| 30.4 | 33.7 |
| 32.8 | 100.0 |
| 35.0 | 49.9 |
| 35.7 | 49.1 |
| 36.0 | 40.4 |
| 38.8 | 27.2 |
| 55.5 | 20.9 |
| 59.3 | 16.0 |
| 60.8 | 18.2 |
| 61.1 | 26.6 |

[2]
Structure and theoretical powder X-ray diffraction pattern of Mg6ZrC (a GGA-PBE-relaxed structure; a wavelength of 1.5418 Å).

Structural model:
```
data_Mg6ZrC
_cell_length_a 4.642
_cell_length_b 5.434
_cell_length_c 12.464
_cell_angle_alpha 90.00
_cell_angle_beta 90.00
_cell_angle_gamma 90.00
_space_group_name_H-M_alt 'P 1'
_space_group_IT_number 1
loop_
_space_group_symop_operation_xyz
'x,y,z'
loop_
_atom_site_label
_atom_site_type_symbol
_atom_site_fract_x
_atom_site_fract_y
_atom_site_fract_z
Mg1 Mg 0.000 0.000 0.000
Mg2 Mg 0.000 0.000 0.445
Mg3 Mg 0.000 0.247 0.234
Mg4 Mg 0.000 0.253 0.734
Mg5 Mg 0.000 0.500 0.500
Mg6 Mg 0.000 0.500 0.945
Mg7 Mg 0.000 0.747 0.734
Mg8 Mg 0.000 0.753 0.234
Mg9 Mg 0.500 0.247 0.105
Mg10 Mg 0.500 0.253 0.605
Mg11 Mg 0.500 0.747 0.605
Mg12 Mg 0.500 0.753 0.105
Zr1 Zr 0.500 0.000 0.844
Zr2 Zr 0.500 0.500 0.344
C1 C 0.500 0.000 0.269
C2 C 0.500 0.500 0.769
```

Principal peaks in the range 15° ≤ 2θ ≤ 90°, sorted by position:
| 2θ/deg | Rel. int. |
| --- | --- |
| 17.8 | 59.7 |
| 26.2 | 65.4 |
| 27.0 | 21.4 |
| 33.3 | 53.5 |
| 34.7 | 100.0 |
| 36.1 | 49.4 |
| 38.8 | 46.5 |
| 39.8 | 22.9 |
| 41.1 | 85.2 |
| 54.0 | 29.7 |
| 56.8 | 15.4 |
| 79.7 | 16.2 |

What did the first record say?
Structure and theoretical powder X-ray diffraction pattern of Tm12Co5Bi (a GGA-PBE-relaxed structure; a wavelength of 1.5418 Å).

Structural model:
```
data_Tm12Co5Bi
_cell_length_a 8.193
_cell_length_b 8.193
_cell_length_c 8.193
_cell_angle_alpha 110.99
_cell_angle_beta 110.85
_cell_angle_gamma 106.62
_space_group_name_H-M_alt 'P 1'
_space_group_IT_number 1
loop_
_space_group_symop_operation_xyz
'x,y,z'
loop_
_atom_site_label
_atom_site_type_symbol
_atom_site_fract_x
_atom_site_fract_y
_atom_site_fract_z
Tm1 Tm 0.004 0.811 0.192
Tm2 Tm 0.211 0.515 0.304
Tm3 Tm 0.211 0.908 0.696
Tm4 Tm 0.284 0.317 0.602
Tm5 Tm 0.284 0.683 0.967
Tm6 Tm 0.381 0.189 0.192
Tm7 Tm 0.619 0.811 0.808
Tm8 Tm 0.716 0.317 0.033
Tm9 Tm 0.716 0.683 0.398
Tm10 Tm 0.789 0.092 0.304
Tm11 Tm 0.789 0.485 0.696
Tm12 Tm 0.996 0.189 0.808
Co1 Co 0.000 0.125 0.125
Co2 Co 0.000 0.500 0.500
Co3 Co 0.000 0.875 0.875
Co4 Co 0.388 0.388 0.000
Co5 Co 0.612 0.612 0.000
Bi1 Bi 0.500 0.000 0.500
```

Principal peaks in the range 15° ≤ 2θ ≤ 90°, sorted by position:
| 2θ/deg | Rel. int. |
| --- | --- |
| 29.0 | 23.4 |
| 30.3 | 27.7 |
| 30.4 | 33.7 |
| 32.8 | 100.0 |
| 35.0 | 49.9 |
| 35.7 | 49.1 |
| 36.0 | 40.4 |
| 38.8 | 27.2 |
| 55.5 | 20.9 |
| 59.3 | 16.0 |
| 60.8 | 18.2 |
| 61.1 | 26.6 |

Please write out number 1 again, unchanged.
Structure and theoretical powder X-ray diffraction pattern of Tm12Co5Bi (a GGA-PBE-relaxed structure; a wavelength of 1.5418 Å).

Structural model:
```
data_Tm12Co5Bi
_cell_length_a 8.193
_cell_length_b 8.193
_cell_length_c 8.193
_cell_angle_alpha 110.99
_cell_angle_beta 110.85
_cell_angle_gamma 106.62
_space_group_name_H-M_alt 'P 1'
_space_group_IT_number 1
loop_
_space_group_symop_operation_xyz
'x,y,z'
loop_
_atom_site_label
_atom_site_type_symbol
_atom_site_fract_x
_atom_site_fract_y
_atom_site_fract_z
Tm1 Tm 0.004 0.811 0.192
Tm2 Tm 0.211 0.515 0.304
Tm3 Tm 0.211 0.908 0.696
Tm4 Tm 0.284 0.317 0.602
Tm5 Tm 0.284 0.683 0.967
Tm6 Tm 0.381 0.189 0.192
Tm7 Tm 0.619 0.811 0.808
Tm8 Tm 0.716 0.317 0.033
Tm9 Tm 0.716 0.683 0.398
Tm10 Tm 0.789 0.092 0.304
Tm11 Tm 0.789 0.485 0.696
Tm12 Tm 0.996 0.189 0.808
Co1 Co 0.000 0.125 0.125
Co2 Co 0.000 0.500 0.500
Co3 Co 0.000 0.875 0.875
Co4 Co 0.388 0.388 0.000
Co5 Co 0.612 0.612 0.000
Bi1 Bi 0.500 0.000 0.500
```

Principal peaks in the range 15° ≤ 2θ ≤ 90°, sorted by position:
| 2θ/deg | Rel. int. |
| --- | --- |
| 29.0 | 23.4 |
| 30.3 | 27.7 |
| 30.4 | 33.7 |
| 32.8 | 100.0 |
| 35.0 | 49.9 |
| 35.7 | 49.1 |
| 36.0 | 40.4 |
| 38.8 | 27.2 |
| 55.5 | 20.9 |
| 59.3 | 16.0 |
| 60.8 | 18.2 |
| 61.1 | 26.6 |

Please write out number 2 again, unchanged.
Structure and theoretical powder X-ray diffraction pattern of Mg6ZrC (a GGA-PBE-relaxed structure; a wavelength of 1.5418 Å).

Structural model:
```
data_Mg6ZrC
_cell_length_a 4.642
_cell_length_b 5.434
_cell_length_c 12.464
_cell_angle_alpha 90.00
_cell_angle_beta 90.00
_cell_angle_gamma 90.00
_space_group_name_H-M_alt 'P 1'
_space_group_IT_number 1
loop_
_space_group_symop_operation_xyz
'x,y,z'
loop_
_atom_site_label
_atom_site_type_symbol
_atom_site_fract_x
_atom_site_fract_y
_atom_site_fract_z
Mg1 Mg 0.000 0.000 0.000
Mg2 Mg 0.000 0.000 0.445
Mg3 Mg 0.000 0.247 0.234
Mg4 Mg 0.000 0.253 0.734
Mg5 Mg 0.000 0.500 0.500
Mg6 Mg 0.000 0.500 0.945
Mg7 Mg 0.000 0.747 0.734
Mg8 Mg 0.000 0.753 0.234
Mg9 Mg 0.500 0.247 0.105
Mg10 Mg 0.500 0.253 0.605
Mg11 Mg 0.500 0.747 0.605
Mg12 Mg 0.500 0.753 0.105
Zr1 Zr 0.500 0.000 0.844
Zr2 Zr 0.500 0.500 0.344
C1 C 0.500 0.000 0.269
C2 C 0.500 0.500 0.769
```

Principal peaks in the range 15° ≤ 2θ ≤ 90°, sorted by position:
| 2θ/deg | Rel. int. |
| --- | --- |
| 17.8 | 59.7 |
| 26.2 | 65.4 |
| 27.0 | 21.4 |
| 33.3 | 53.5 |
| 34.7 | 100.0 |
| 36.1 | 49.4 |
| 38.8 | 46.5 |
| 39.8 | 22.9 |
| 41.1 | 85.2 |
| 54.0 | 29.7 |
| 56.8 | 15.4 |
| 79.7 | 16.2 |